# 1
Computed PXRD pattern
Compound: Ag3SbS3
Radiation: Cu Kα (λ = 1.5418 Å)
Structure: a DFT-relaxed cell (GGA-PBE, the Materials Project)

Atomic structure:
a b c (Å): 7.0088 16.0136 6.4006
angles (deg): 90.00 116.49 90.00
Fractional positions:
Ag1 0.0271 0.2430 0.3110
Ag2 0.0271 0.2570 0.8110
Ag3 0.0897 0.5979 0.5321
Ag4 0.0897 0.9021 0.0321
Ag5 0.4430 0.1889 0.2106
Ag6 0.4430 0.3111 0.7106
Ag7 0.5570 0.6889 0.2894
Ag8 0.5570 0.8111 0.7894
Ag9 0.9103 0.0979 0.9679
Ag10 0.9103 0.4021 0.4679
Ag11 0.9729 0.7430 0.1890
Ag12 0.9729 0.7570 0.6890
Sb1 0.3068 0.0519 0.6727
Sb2 0.3068 0.4481 0.1727
Sb3 0.6932 0.5519 0.8273
Sb4 0.6932 0.9481 0.3273
S1 0.0291 0.6366 0.9443
S2 0.0291 0.8634 0.4443
S3 0.2807 0.0574 0.2687
S4 0.2807 0.4426 0.7687
S5 0.4429 0.6671 0.6255
S6 0.4429 0.8329 0.1255
S7 0.5571 0.1671 0.8745
S8 0.5571 0.3329 0.3745
S9 0.7193 0.5574 0.2313
S10 0.7193 0.9426 0.7313
S11 0.9709 0.1366 0.5557
S12 0.9709 0.3634 0.0557

Peak list (8 most intense, 15° ≤ 2θ ≤ 90°, most intense first)
h k l  2θ/deg  I/Imax
0 4 1  27.2  100
2 2 0  30.6  89
1 0 -2  27.9  74
2 2 -2  33.5  56
1 6 0  36.6  44
2 3 0  33.2  41
3 3 0  46.7  39
1 8 0  47.7  30


# 2
Computed PXRD pattern
Compound: Ca2SnS4
Radiation: Cu Kα (λ = 1.5418 Å)
Structure: a DFT-relaxed cell (GGA-PBE, the Materials Project)

Atomic structure:
a b c (Å): 7.0190 8.6575 12.8038
angles (deg): 90.00 114.27 90.00
Fractional positions:
Ca1 0.0212 0.0041 0.3105
Ca2 0.0212 0.4959 0.8105
Ca3 0.2752 0.6321 0.5633
Ca4 0.2752 0.8679 0.0633
Ca5 0.7248 0.1321 0.9367
Ca6 0.7248 0.3679 0.4367
Ca7 0.9788 0.5041 0.1895
Ca8 0.9788 0.9959 0.6895
Sn1 0.3683 0.2189 0.5819
Sn2 0.3683 0.2811 0.0819
Sn3 0.6317 0.7189 0.9181
Sn4 0.6317 0.7811 0.4181
S1 0.1145 0.1424 0.1295
S2 0.1145 0.3576 0.6295
S3 0.2606 0.5420 0.0458
S4 0.2606 0.9580 0.5458
S5 0.2756 0.7344 0.7781
S6 0.2756 0.7656 0.2781
S7 0.3018 0.1468 0.9041
S8 0.3018 0.3532 0.4041
S9 0.6982 0.6468 0.5959
S10 0.6982 0.8532 0.0959
S11 0.7244 0.2344 0.7219
S12 0.7244 0.2656 0.2219
S13 0.7394 0.0420 0.4542
S14 0.7394 0.4580 0.9542
S15 0.8855 0.6424 0.3705
S16 0.8855 0.8576 0.8705

Peak list (8 most intense, 15° ≤ 2θ ≤ 90°, most intense first)
h k l  2θ/deg  I/Imax
1 3 -2  34.9  100
1 0 2  24.5  88
1 1 -2  18.8  86
1 2 -3  29.8  86
0 1 2  18.3  77
1 0 -4  27.9  76
1 2 0  24.8  74
2 0 -2  25.7  51


# 3
Computed PXRD pattern
Compound: Cs4BaP6O18
Radiation: Cu Kα (λ = 1.5418 Å)
Structure: a DFT-relaxed cell (GGA-PBE, the Materials Project)

Atomic structure:
a b c (Å): 11.7461 11.7461 9.2649
angles (deg): 90.00 90.00 120.00
Fractional positions:
Cs1 0.0076 0.2369 0.0000
Cs2 0.2293 0.9924 0.0000
Cs3 0.2369 0.0076 0.5000
Cs4 0.3333 0.6667 0.2407
Cs5 0.6667 0.3333 0.7407
Cs6 0.7631 0.7707 0.0000
Cs7 0.7707 0.7631 0.5000
Cs8 0.9924 0.2293 0.5000
Ba1 0.3333 0.6667 0.7502
Ba2 0.6667 0.3333 0.2502
P1 0.0034 0.5484 0.4852
P2 0.0231 0.7143 0.7371
P3 0.2857 0.3088 0.7371
P4 0.3088 0.2857 0.2371
P5 0.4516 0.4550 0.4852
P6 0.4550 0.4516 0.9852
P7 0.5450 0.9966 0.4852
P8 0.5484 0.0034 0.9852
P9 0.6912 0.9769 0.7371
P10 0.7143 0.0231 0.2371
P11 0.9769 0.6912 0.2371
P12 0.9966 0.5450 0.9852
O1 0.0229 0.6758 0.0756
O2 0.0463 0.8360 0.2654
O3 0.0475 0.6244 0.3300
O4 0.1218 0.5450 0.5400
O5 0.1259 0.5489 0.9716
O6 0.1640 0.2102 0.2654
O7 0.1696 0.7806 0.7528
O8 0.2102 0.1640 0.7654
O9 0.2194 0.3890 0.7528
O10 0.3242 0.3471 0.0756
O11 0.3471 0.3242 0.5756
O12 0.3756 0.4231 0.3300
O13 0.3890 0.2194 0.2528
O14 0.4231 0.3756 0.8300
O15 0.4230 0.8741 0.9716
O16 0.4232 0.8782 0.5400
O17 0.4511 0.5770 0.9716
O18 0.4550 0.5768 0.5400
O19 0.5450 0.1218 0.0400
O20 0.5489 0.1259 0.4716
O21 0.5770 0.4511 0.4716
O22 0.5768 0.4550 0.0400
O23 0.5769 0.9525 0.3300
O24 0.6110 0.8304 0.7528
O25 0.6244 0.0475 0.8300
O26 0.6529 0.9771 0.0756
O27 0.6758 0.0229 0.5756
O28 0.7806 0.1696 0.2528
O29 0.7898 0.9537 0.2654
O30 0.8304 0.6110 0.2528
O31 0.8360 0.0463 0.7654
O32 0.8741 0.4230 0.4716
O33 0.8782 0.4232 0.0400
O34 0.9525 0.5769 0.8300
O35 0.9537 0.7898 0.7654
O36 0.9771 0.6529 0.5756

Peak list (8 most intense, 15° ≤ 2θ ≤ 90°, most intense first)
h k l  2θ/deg  I/Imax
2 1 0  23.1  100
1 1 2  24.5  97
3 -1 2  30.2  70
4 0 2  40.5  29
2 1 4  45.7  28
3 0 0  26.3  26
6 -3 2  50.6  23
1 0 2  21.1  23


# 4
Computed PXRD pattern
Compound: Eu3InP3
Radiation: Cu Kα (λ = 1.5418 Å)
Structure: a DFT-relaxed cell (GGA-PBE, the Materials Project)

Atomic structure:
a b c (Å): 12.6327 4.2809 13.4598
angles (deg): 90.00 90.00 90.00
Fractional positions:
Eu1 0.0735 0.2500 0.1064
Eu2 0.1435 0.7500 0.5042
Eu3 0.2263 0.7500 0.7949
Eu4 0.2737 0.2500 0.2949
Eu5 0.3565 0.2500 0.0042
Eu6 0.4265 0.7500 0.6064
Eu7 0.5735 0.2500 0.3936
Eu8 0.6435 0.7500 0.9958
Eu9 0.7263 0.7500 0.7051
Eu10 0.7737 0.2500 0.2051
Eu11 0.8565 0.2500 0.4958
Eu12 0.9265 0.7500 0.8936
In1 0.0499 0.2500 0.6999
In2 0.4501 0.7500 0.1999
In3 0.5499 0.2500 0.8001
In4 0.9501 0.7500 0.3001
P1 0.0500 0.2500 0.3590
P2 0.0959 0.2500 0.8887
P3 0.2455 0.2500 0.6279
P4 0.2545 0.7500 0.1279
P5 0.4041 0.7500 0.3887
P6 0.4500 0.7500 0.8590
P7 0.5500 0.2500 0.1410
P8 0.5959 0.2500 0.6113
P9 0.7455 0.2500 0.8721
P10 0.7545 0.7500 0.3721
P11 0.9041 0.7500 0.1113
P12 0.9500 0.7500 0.6410

Peak list (8 most intense, 15° ≤ 2θ ≤ 90°, most intense first)
h k l  2θ/deg  I/Imax
4 1 0  35.3  100
1 1 3  29.7  99
2 1 3  32.2  80
2 1 4  36.8  76
5 1 5  54.2  72
3 1 1  30.5  68
1 0 5  34.1  68
0 2 0  42.2  64